Record 1
# Li9Mn2Co5O16
Theoretical powder XRD pattern, Cu Kα. Input: a PBE+U-relaxed structure.

Peak list (6 most intense, 5° ≤ 2θ ≤ 70°, by intensity)
| 2theta | I/Imax |
| --- | --- |
| 18.2 | 100 |
| 43.9 | 57 |
| 62.8 | 40 |
| 42.5 | 32 |
| 36.3 | 27 |
| 35.1 | 17 |

Structure:
Unit cell a=5.180 b=2.875 c=38.925 alpha=90.00 beta=91.68 gamma=90.00
Space group Cm (No. 8)
Inequivalent atoms, fractional coordinates:
Li: 0.000 0.000 0.000 [2 per cell]
Li: 0.004 0.500 0.499 [2 per cell]
Li: 0.110 0.500 0.867 [2 per cell]
Li: 0.117 0.000 0.370 [2 per cell]
Li: 0.245 0.500 0.247 [2 per cell]
Li: 0.255 0.000 0.748 [2 per cell]
Li: 0.369 0.500 0.622 [2 per cell]
Li: 0.373 0.000 0.123 [2 per cell]
Li: 0.435 0.500 0.810 [2 per cell]
Mn: 0.306 0.000 0.935 [2 per cell]
Mn: 0.311 0.500 0.434 [2 per cell]
Co: 0.058 0.500 0.684 [2 per cell]
Co: 0.059 0.000 0.184 [2 per cell]
Co: 0.185 0.000 0.560 [2 per cell]
Co: 0.186 0.500 0.060 [2 per cell]
Co: 0.432 0.000 0.309 [2 per cell]
O: 0.027 0.500 0.588 [2 per cell]
O: 0.028 0.000 0.089 [2 per cell]
O: 0.090 0.000 0.280 [2 per cell]
O: 0.093 0.500 0.777 [2 per cell]
O: 0.168 0.500 0.964 [2 per cell]
O: 0.180 0.000 0.463 [2 per cell]
O: 0.209 0.000 0.655 [2 per cell]
O: 0.215 0.500 0.156 [2 per cell]
O: 0.275 0.000 0.842 [2 per cell]
O: 0.276 0.500 0.338 [2 per cell]
O: 0.341 0.000 0.031 [2 per cell]
O: 0.342 0.500 0.530 [2 per cell]
O: 0.402 0.000 0.213 [2 per cell]
O: 0.408 0.500 0.711 [2 per cell]
O: 0.442 0.000 0.405 [2 per cell]
O: 0.448 0.500 0.908 [2 per cell]

Record 2
# Li2Fe2Si2O9
Theoretical powder XRD pattern, Cu Kα. Input: a PBE+U-relaxed structure.

Peak list (6 most intense, 5° ≤ 2θ ≤ 70°, by intensity)
| 2theta | I/Imax |
| --- | --- |
| 27.1 | 100 |
| 16.2 | 94 |
| 33.1 | 92 |
| 21.0 | 43 |
| 20.1 | 35 |
| 41.1 | 32 |

Structure:
Unit cell a=8.518 b=5.171 c=14.272 alpha=90.00 beta=90.00 gamma=90.00
Space group Pbcn (No. 60)
Inequivalent atoms, fractional coordinates:
Li: 0.046 0.125 0.158 [8 per cell]
Fe: 0.154 0.380 0.831 [8 per cell]
Si: 0.155 0.287 0.528 [8 per cell]
O: 0.000 0.465 0.250 [4 per cell]
O: 0.012 0.223 0.923 [8 per cell]
O: 0.155 0.291 0.413 [8 per cell]
O: 0.178 0.055 0.767 [8 per cell]
O: 0.224 0.438 0.068 [8 per cell]

Record 3
# Y2Fe2O7
Theoretical powder XRD pattern, Cu Kα. Input: a PBE+U-relaxed structure.

Peak list (6 most intense, 5° ≤ 2θ ≤ 70°, by intensity)
| 2theta | I/Imax |
| --- | --- |
| 30.5 | 100 |
| 50.9 | 52 |
| 60.5 | 39 |
| 35.4 | 22 |
| 38.7 | 8 |
| 63.5 | 8 |

Structure:
Unit cell a=10.144 b=10.144 c=10.144 alpha=90.00 beta=90.00 gamma=90.00
Space group Fd-3m (No. 227, origin choice 2)
Inequivalent atoms, fractional coordinates:
Y: 0.000 0.000 0.000 [16 per cell]
Fe: 0.000 0.000 0.500 [16 per cell]
O: 0.083 0.375 0.875 [48 per cell]
O: 0.125 0.125 0.125 [8 per cell]

Record 4
# Fe3Co2NiP6O24
Theoretical powder XRD pattern, Cu Kα. Input: a PBE+U-relaxed structure.

Peak list (6 most intense, 5° ≤ 2θ ≤ 70°, by intensity)
| 2theta | I/Imax |
| --- | --- |
| 24.5 | 100 |
| 20.6 | 97 |
| 33.7 | 74 |
| 36.1 | 46 |
| 48.2 | 33 |
| 50.2 | 29 |

Structure:
Unit cell a=8.6302 b=8.6302 c=20.2935 alpha=90.00 beta=90.00 gamma=120.00
Space group R3 (No. 146, hexagonal axes)
Inequivalent atoms, fractional coordinates:
Fe: 0.0000 0.0000 0.0000 [3 per cell]
Fe: 0.0000 0.0000 0.2104 [3 per cell]
Fe: 0.0000 0.0000 0.7104 [3 per cell]
Co: 0.0000 0.0000 0.3555 [3 per cell]
Co: 0.0000 0.0000 0.8553 [3 per cell]
Ni: 0.0000 0.0000 0.4973 [3 per cell]
P: 0.0025 0.7027 0.1044 [9 per cell]
P: 0.0369 0.3689 0.2716 [9 per cell]
O: 0.0099 0.8317 0.7833 [9 per cell]
O: 0.0110 0.2038 0.6670 [9 per cell]
O: 0.0115 0.1757 0.2836 [9 per cell]
O: 0.0148 0.8084 0.1664 [9 per cell]
O: 0.1350 0.4593 0.2090 [9 per cell]
O: 0.1407 0.6791 0.7093 [9 per cell]
O: 0.1641 0.4907 0.5943 [9 per cell]
O: 0.1681 0.6770 0.0922 [9 per cell]

Record 5
# Na2FeO3
Theoretical powder XRD pattern, Cu Kα. Input: a PBE+U-relaxed structure.

Peak list (6 most intense, 5° ≤ 2θ ≤ 70°, by intensity)
| 2theta | I/Imax |
| --- | --- |
| 41.2 | 100 |
| 17.5 | 76 |
| 38.6 | 70 |
| 57.7 | 63 |
| 33.9 | 35 |
| 35.6 | 27 |

Structure:
Unit cell a=6.417 b=9.330 c=17.998 alpha=90.00 beta=90.00 gamma=90.00
Space group Fddd (No. 70, origin choice 2)
Inequivalent atoms, fractional coordinates:
Na: 0.125 0.125 0.046 [16 per cell]
Na: 0.125 0.125 0.369 [16 per cell]
Fe: 0.125 0.125 0.540 [16 per cell]
O: 0.067 0.375 0.875 [16 per cell]
O: 0.093 0.364 0.721 [32 per cell]

Record 6
# K2LiMn2O4
Theoretical powder XRD pattern, Cu Kα. Input: a PBE+U-relaxed structure.

Peak list (6 most intense, 5° ≤ 2θ ≤ 70°, by intensity)
| 2theta | I/Imax |
| --- | --- |
| 31.6 | 100 |
| 32.7 | 88 |
| 20.0 | 78 |
| 33.2 | 66 |
| 32.6 | 47 |
| 19.8 | 46 |

Structure:
Unit cell a=8.923 b=9.472 c=6.576 alpha=90.00 beta=94.65 gamma=90.00
Space group C2/c (No. 15)
Inequivalent atoms, fractional coordinates:
K: 0.000 0.021 0.250 [4 per cell]
K: 0.250 0.250 0.000 [4 per cell]
Li: 0.000 0.355 0.750 [4 per cell]
Mn: 0.196 0.386 0.467 [8 per cell]
O: 0.097 0.213 0.555 [8 per cell]
O: 0.188 0.478 0.743 [8 per cell]